# 1
Structure and simulated PXRD pattern of AsSClOF8 (a crystal structure in the Materials Project, relaxed with PBE; Cu Kα (weighted mean of Kα1 and Kα2)).

Structure:
Cell: 8.625 9.343 10.048 Å, 90.00 95.37 90.00°
Space group P2_1 (No. 4)
Symmetry-distinct sites (fractional):
As 0.004 0.000 0.308 [2 per cell]
As 0.496 0.374 0.192 [2 per cell]
S 0.004 0.009 0.870 [2 per cell]
S 0.494 0.838 0.363 [2 per cell]
Cl 0.033 0.988 0.685 [2 per cell]
Cl 0.463 0.391 0.814 [2 per cell]
O 0.026 0.386 0.058 [2 per cell]
O 0.372 0.744 0.380 [2 per cell]
F 0.076 0.590 0.837 [2 per cell]
F 0.084 0.337 0.752 [2 per cell]
F 0.085 0.907 0.455 [2 per cell]
F 0.093 0.159 0.371 [2 per cell]
F 0.120 0.626 0.124 [2 per cell]
F 0.145 0.094 0.931 [2 per cell]
F 0.165 0.538 0.609 [2 per cell]
F 0.172 0.955 0.228 [2 per cell]
F 0.327 0.419 0.271 [2 per cell]
F 0.335 0.837 0.890 [2 per cell]
F 0.350 0.288 0.566 [2 per cell]
F 0.408 0.215 0.128 [2 per cell]
F 0.415 0.037 0.747 [2 per cell]
F 0.415 0.468 0.045 [2 per cell]
F 0.426 0.784 0.663 [2 per cell]
F 0.481 0.982 0.436 [2 per cell]

Most intense lines, 10 to 90 degrees two-theta, low angle first:
2θ/deg  Rel. int.  index
17.73  35  0 0 2
19.00  58  0 2 0
20.14  60  0 1 2
20.69  100  2 0 0
21.66  92  1 2 0
28.23  29  2 2 0

***

# 2
Structure and simulated PXRD pattern of Tb4ZrAl15 (a crystal structure in the Materials Project, relaxed with PBE; Cu Kα (weighted mean of Kα1 and Kα2)).

Structure:
Cell: 6.0691 6.0691 36.0416 Å, 90.00 90.00 120.00°
Space group R-3m (No. 166, hexagonal axes)
Symmetry-distinct sites (fractional):
Tb 0.0000 0.0000 0.1002 [6 per cell]
Tb 0.0000 0.0000 0.3692 [6 per cell]
Zr 0.0000 0.0000 0.5000 [3 per cell]
Al 0.0000 0.5000 0.5000 [9 per cell]
Al 0.0054 0.5027 0.3663 [18 per cell]
Al 0.0299 0.5150 0.8979 [18 per cell]

Most intense lines, 10 to 90 degrees two-theta, low angle first:
2θ/deg  Rel. int.  index
19.55  100  1 0 4
24.20  61  1 0 7
29.43  87  1 1 0
35.59  70  0 2 4
38.46  64  0 2 7
39.71  68  2 0 8

***

# 3
Structure and simulated PXRD pattern of BaAlGeF (a crystal structure in the Materials Project, relaxed with PBE; Cu Kα (weighted mean of Kα1 and Kα2)).

Structure:
Cell: 4.286 4.286 9.922 Å, 90.00 90.00 90.00°
Space group P4/nmm (No. 129, origin choice 2)
Symmetry-distinct sites (fractional):
Ba 0.250 0.250 0.160 [2 per cell]
Al 0.250 0.750 0.500 [2 per cell]
Ge 0.250 0.250 0.656 [2 per cell]
F 0.250 0.750 0.000 [2 per cell]

Most intense lines, 10 to 90 degrees two-theta, low angle first:
2θ/deg  Rel. int.  index
27.50  100  1 0 2
29.47  30  1 1 0
34.69  26  1 1 2
42.14  49  2 0 0
51.09  35  2 1 2
61.13  23  2 2 0

***

# 4
Structure and simulated PXRD pattern of CaSiO3 (a crystal structure in the Materials Project, relaxed with PBE; Cu Kα (weighted mean of Kα1 and Kα2)).

Structure:
Cell: 5.079 5.079 7.285 Å, 90.00 90.00 90.00°
Space group I4/mcm (No. 140)
Symmetry-distinct sites (fractional):
Ca 0.000 0.500 0.250 [4 per cell]
Si 0.000 0.000 0.000 [4 per cell]
O 0.000 0.000 0.250 [4 per cell]
O 0.222 0.278 0.000 [8 per cell]

Most intense lines, 10 to 90 degrees two-theta, low angle first:
2θ/deg  Rel. int.  index
35.09  100  1 1 2
35.35  55  2 0 0
43.44  65  2 0 2
50.08  40  0 0 4
50.85  71  2 2 0
63.28  40  3 1 2

***

# 5
Structure and simulated PXRD pattern of Mg3Mn (a crystal structure in the Materials Project, relaxed with PBE; Cu Kα (weighted mean of Kα1 and Kα2)).

Structure:
Cell: 4.298 4.298 4.298 Å, 90.00 90.00 90.00°
Space group Pm-3m (No. 221)
Symmetry-distinct sites (fractional):
Mg 0.000 0.000 0.500 [3 per cell]
Mn 0.500 0.500 0.500 [1 per cell]

Most intense lines, 10 to 90 degrees two-theta, low angle first:
2θ/deg  Rel. int.  index
20.67  17  1 0 0
29.39  14  1 1 0
36.20  100  1 1 1
42.05  48  2 0 0
60.98  30  2 2 0
73.02  33  3 1 1

***

# 6
Structure and simulated PXRD pattern of NaMg14Zr (a crystal structure in the Materials Project, relaxed with PBE; Cu Kα (weighted mean of Kα1 and Kα2)).

Structure:
Cell: 10.245 6.530 11.182 Å, 90.00 90.00 90.00°
Space group Amm2 (No. 38)
Symmetry-distinct sites (fractional):
Na 0.000 0.000 0.000 [2 per cell]
Mg 0.000 0.245 0.753 [4 per cell]
Mg 0.249 0.000 0.665 [4 per cell]
Mg 0.251 0.000 0.169 [4 per cell]
Mg 0.251 0.245 0.418 [8 per cell]
Mg 0.500 0.000 0.001 [2 per cell]
Mg 0.500 0.000 0.501 [2 per cell]
Mg 0.500 0.250 0.251 [4 per cell]
Zr 0.000 0.000 0.499 [2 per cell]

Most intense lines, 10 to 90 degrees two-theta, low angle first:
2θ/deg  Rel. int.  index
31.74  25  0 2 2
35.03  37  4 0 0
36.37  100  2 2 2
36.62  48  2 0 4
63.72  18  6 2 2
68.59  19  4 2 6

***

# 7
Structure and simulated PXRD pattern of Mn2Nb (a crystal structure in the Materials Project, relaxed with PBE; Cu Kα (weighted mean of Kα1 and Kα2)).

Structure:
Cell: 4.8180 4.8180 7.9015 Å, 90.00 90.00 120.00°
Space group P6_3/mmc (No. 194)
Symmetry-distinct sites (fractional):
Mn 0.0000 0.0000 0.0000 [2 per cell]
Mn 0.1713 0.3427 0.2500 [6 per cell]
Nb 0.3333 0.6667 0.5621 [4 per cell]

Most intense lines, 10 to 90 degrees two-theta, low angle first:
2θ/deg  Rel. int.  index
37.33  49  1 1 0
40.50  88  1 0 3
44.03  100  1 1 2
44.94  66  2 0 1
69.47  30  2 1 3
75.47  27  2 0 5

***

# 8
Structure and simulated PXRD pattern of KPrZr2O6 (a crystal structure in the Materials Project, relaxed with PBE; Cu Kα (weighted mean of Kα1 and Kα2)).

Structure:
Cell: 8.364 8.364 8.364 Å, 90.00 90.00 90.00°
Space group Fm-3m (No. 225)
Symmetry-distinct sites (fractional):
K 0.000 0.000 0.000 [4 per cell]
Pr 0.000 0.000 0.500 [4 per cell]
Zr 0.250 0.250 0.250 [8 per cell]
O 0.000 0.250 0.250 [24 per cell]

Most intense lines, 10 to 90 degrees two-theta, low angle first:
2θ/deg  Rel. int.  index
18.37  20  1 1 1
30.22  100  2 2 0
43.27  35  4 0 0
53.69  39  4 2 2
62.85  21  4 4 0
87.22  20  6 4 2

***

# 9
Structure and simulated PXRD pattern of Mg6FeC (a crystal structure in the Materials Project, relaxed with PBE; Cu Kα (weighted mean of Kα1 and Kα2)).

Structure:
Cell: 3.762 8.234 9.319 Å, 90.00 90.00 90.00°
Space group Amm2 (No. 38)
Symmetry-distinct sites (fractional):
Mg 0.000 0.000 0.000 [2 per cell]
Mg 0.000 0.000 0.401 [2 per cell]
Mg 0.000 0.181 0.685 [4 per cell]
Mg 0.500 0.250 0.443 [4 per cell]
Fe 0.500 0.000 0.195 [2 per cell]
C 0.500 0.000 0.549 [2 per cell]

Most intense lines, 10 to 90 degrees two-theta, low angle first:
2θ/deg  Rel. int.  index
14.35  38  0 1 1
27.77  24  1 1 1
34.05  28  0 3 1
37.71  100  1 2 2
38.65  20  0 0 4
39.17  46  1 1 3

***

Q: What is the formula in the eighth record?
A: KPrZr2O6